[1]
Calculated X-ray diffraction stick pattern
Compound: La3Ti4O12
Radiation: Cu Kα (weighted mean of Kα1 and Kα2)
Structure: the PBE geometry in Alexandria
Neutral-atom scattering factors, no anomalous dispersion.

Structure:
Cell lengths 7.8086, 7.7886, 7.9012 Å; angles 90.00, 90.00, 90.00 degrees
Space group Amm2 (No. 38)
Asymmetric unit:
1 La 0.0000 0.0000 0.0000 x2
2 La 0.0000 0.0000 0.4959 x2
3 La 0.5000 0.0000 0.9953 x2
4 Ti 0.2577 0.2492 0.2454 x8
5 O 0.0000 0.2029 0.2475 x4
6 O 0.1980 0.0000 0.7453 x4
7 O 0.2369 0.2424 0.9934 x8
8 O 0.2847 0.0000 0.2287 x4
9 O 0.5000 0.2094 0.7515 x4

Largest 6 diffraction maxima, by intensity, 5° ≤ 2θ ≤ 70°:
| 2theta | Rel. int. | h k l |
| --- | --- | --- |
| 32.26 | 100 | 0 2 2 |
| 32.47 | 55 | 2 2 0 |
| 57.79 | 42 | 4 2 2 |
| 39.87 | 32 | 2 2 2 |
| 19.63 | 24 | 1 1 1 |
| 57.38 | 21 | 2 2 4 |

=====

[2]
Calculated X-ray diffraction stick pattern
Compound: ZrBRu3
Radiation: Cu Kα (weighted mean of Kα1 and Kα2)
Structure: the PBE geometry in Alexandria
Neutral-atom scattering factors, no anomalous dispersion.

Structure:
Cell lengths 4.8834, 5.5278, 5.2110 Å; angles 90.00, 94.12, 90.00 degrees
Space group P2_1/m (No. 11)
Asymmetric unit:
1 Zr 0.1398 0.2500 0.1678 x2
2 B 0.3422 0.7500 0.0209 x2
3 Ru 0.1236 0.7500 0.3549 x2
4 Ru 0.3757 0.0140 0.7241 x4

Largest 6 diffraction maxima, by intensity, 5° ≤ 2θ ≤ 70°:
| 2theta | Rel. int. | h k l |
| --- | --- | --- |
| 37.41 | 100 | 1 2 0 |
| 41.96 | 90 | 1 2 1 |
| 39.73 | 70 | 2 0 -1 |
| 42.09 | 68 | 2 0 1 |
| 34.51 | 57 | 0 0 2 |
| 40.80 | 50 | 1 2 -1 |

=====

[3]
Calculated X-ray diffraction stick pattern
Compound: Tm4SnSe4
Radiation: Cu Kα (weighted mean of Kα1 and Kα2)
Structure: the PBE geometry in Alexandria
Neutral-atom scattering factors, no anomalous dispersion.

Structure:
Cell lengths 13.9415, 4.0416, 10.2474 Å; angles 90.00, 120.68, 90.00 degrees
Space group C2/m (No. 12)
Asymmetric unit:
1 Tm 0.0979 0.0000 0.3856 x4
2 Tm 0.2064 0.5000 0.8084 x4
3 Sn 0.0000 0.5000 0.5000 x2
4 Se 0.1091 0.0000 0.8970 x4
5 Se 0.2028 0.5000 0.3044 x4

Largest 6 diffraction maxima, by intensity, 5° ≤ 2θ ≤ 70°:
| 2theta | Rel. int. | h k l |
| --- | --- | --- |
| 30.66 | 100 | 3 1 -2 |
| 43.92 | 49 | 5 1 0 |
| 42.86 | 13 | 6 0 -4 |
| 55.34 | 13 | 2 2 2 |
| 44.85 | 12 | 0 2 0 |
| 10.04 | 11 | 0 0 1 |

=====

[4]
Calculated X-ray diffraction stick pattern
Compound: Tb3NdIn
Radiation: Cu Kα (weighted mean of Kα1 and Kα2)
Structure: the PBE geometry in Alexandria
Neutral-atom scattering factors, no anomalous dispersion.

Structure:
Cell lengths 16.7832, 5.2530, 6.9876 Å; angles 90.00, 90.95, 90.00 degrees
Space group C2/m (No. 12)
Asymmetric unit:
1 Tb 0.0039 0.0000 0.2541 x4
2 Tb 0.1107 0.5000 0.4996 x4
3 Tb 0.2051 0.0000 0.7516 x4
4 Nd 0.1088 0.5000 0.9915 x4
5 In 0.1971 0.0000 0.2583 x4

Largest 6 diffraction maxima, by intensity, 5° ≤ 2θ ≤ 70°:
| 2theta | Rel. int. | h k l |
| --- | --- | --- |
| 31.64 | 100 | 5 1 0 |
| 31.13 | 46 | 1 1 -2 |
| 31.28 | 44 | 1 1 2 |
| 34.14 | 43 | 0 2 0 |
| 33.66 | 24 | 4 0 2 |
| 33.10 | 24 | 4 0 -2 |

=====

[5]
Calculated X-ray diffraction stick pattern
Compound: Pm2Np3N8
Radiation: Cu Kα (weighted mean of Kα1 and Kα2)
Structure: the PBE geometry in Alexandria
Neutral-atom scattering factors, no anomalous dispersion.

Structure:
Cell lengths 6.9114, 6.9114, 10.2683 Å; angles 90.00, 90.00, 120.00 degrees
Space group P6_3mc (No. 186)
Asymmetric unit:
1 Pm 0.3333 0.6667 0.0000 x2
2 Pm 0.3333 0.6667 0.3499 x2
3 Np 0.1660 0.3320 0.7101 x6
4 N 0.0000 0.0000 0.2999 x2
5 N 0.0576 0.5288 0.8217 x6
6 N 0.1625 0.3249 0.1311 x6
7 N 0.3333 0.6667 0.6031 x2

Largest 6 diffraction maxima, by intensity, 5° ≤ 2θ ≤ 70°:
| 2theta | Rel. int. | h k l |
| --- | --- | --- |
| 31.15 | 100 | 2 0 1 |
| 17.27 | 38 | 0 0 2 |
| 30.08 | 31 | 1 0 3 |
| 53.00 | 22 | 2 2 0 |
| 29.85 | 20 | 2 0 0 |
| 48.22 | 19 | 2 1 3 |

=====

[6]
Calculated X-ray diffraction stick pattern
Compound: SmDy12Al4N3
Radiation: Cu Kα (weighted mean of Kα1 and Kα2)
Structure: the PBE geometry in Alexandria
Neutral-atom scattering factors, no anomalous dispersion.

Structure:
Cell lengths 9.8137, 9.8137, 9.8137 Å; angles 90.00, 90.00, 90.00 degrees
Space group Im-3m (No. 229)
Asymmetric unit:
1 Sm 0.0000 0.0000 0.0000 x2
2 Dy 0.0000 0.0000 0.2743 x12
3 Dy 0.0000 0.2500 0.5000 x12
4 Al 0.2500 0.2500 0.2500 x8
5 N 0.0000 0.0000 0.5000 x6

Largest 6 diffraction maxima, by intensity, 5° ≤ 2θ ≤ 70°:
| 2theta | Rel. int. | h k l |
| --- | --- | --- |
| 31.58 | 100 | 2 2 2 |
| 36.63 | 73 | 4 0 0 |
| 18.08 | 50 | 2 0 0 |
| 52.77 | 49 | 4 4 0 |
| 62.81 | 38 | 6 2 2 |
| 41.13 | 21 | 4 2 0 |

=====

[7]
Calculated X-ray diffraction stick pattern
Compound: CrSe8
Radiation: Cu Kα (weighted mean of Kα1 and Kα2)
Structure: the PBE geometry in Alexandria
Neutral-atom scattering factors, no anomalous dispersion.

Structure:
Cell lengths 11.7834, 11.7834, 3.7531 Å; angles 90.00, 90.00, 90.00 degrees
Space group I4/mmm (No. 139)
Asymmetric unit:
1 Cr 0.0000 0.0000 0.0000 x2
2 Se 0.0000 0.2096 0.0000 x8
3 Se 0.1708 0.1708 0.5000 x8

Largest 6 diffraction maxima, by intensity, 5° ≤ 2θ ≤ 70°:
| 2theta | Rel. int. | h k l |
| --- | --- | --- |
| 10.62 | 100 | 1 1 0 |
| 36.45 | 64 | 3 2 1 |
| 33.01 | 55 | 3 0 1 |
| 38.97 | 22 | 5 1 0 |
| 39.64 | 21 | 4 1 1 |
| 23.88 | 20 | 3 1 0 |

=====

[8]
Calculated X-ray diffraction stick pattern
Compound: NdEr5N6
Radiation: Cu Kα (weighted mean of Kα1 and Kα2)
Structure: the PBE geometry in Alexandria
Neutral-atom scattering factors, no anomalous dispersion.

Structure:
Cell lengths 6.0078, 10.4070, 6.0042 Å; angles 90.00, 109.47, 90.00 degrees
Space group C2/m (No. 12)
Asymmetric unit:
1 Nd 0.0000 0.0000 0.0000 x2
2 Er 0.0000 0.1680 0.5000 x4
3 Er 0.0000 0.3335 0.0000 x4
4 Er 0.0000 0.5000 0.5000 x2
5 N 0.2426 0.5000 0.2544 x4
6 N 0.2441 0.3289 0.7456 x8

Largest 5 diffraction maxima, by intensity, 5° ≤ 2θ ≤ 70°:
| 2theta | Rel. int. | h k l |
| --- | --- | --- |
| 31.60 | 100 | 2 0 0 |
| 36.65 | 71 | 1 3 1 |
| 52.79 | 49 | 2 0 2 |
| 62.84 | 45 | 3 3 1 |
| 65.98 | 16 | 4 0 0 |

=====

[9]
Calculated X-ray diffraction stick pattern
Compound: Sm2Si4Pd3
Radiation: Cu Kα (weighted mean of Kα1 and Kα2)
Structure: the PBE geometry in Alexandria
Neutral-atom scattering factors, no anomalous dispersion.

Structure:
Cell lengths 5.6738, 15.0509, 7.3881 Å; angles 90.00, 90.00, 90.00 degrees
Space group Cmce (No. 64)
Asymmetric unit:
1 Sm 0.0000 0.1057 0.0945 x8
2 Si 0.0000 0.1793 0.4798 x8
3 Si 0.2500 0.0626 0.7500 x8
4 Pd 0.0000 0.0000 0.5000 x4
5 Pd 0.2500 0.2261 0.7500 x8

Largest 6 diffraction maxima, by intensity, 5° ≤ 2θ ≤ 70°:
| 2theta | Rel. int. | h k l |
| --- | --- | --- |
| 35.89 | 100 | 1 5 1 |
| 40.08 | 65 | 2 0 2 |
| 34.03 | 56 | 1 3 2 |
| 26.89 | 45 | 0 2 2 |
| 35.95 | 44 | 2 2 1 |
| 26.60 | 42 | 1 3 1 |

=====

[10]
Calculated X-ray diffraction stick pattern
Compound: Pm2NdSm4Dy
Radiation: Cu Kα (weighted mean of Kα1 and Kα2)
Structure: the PBE geometry in Alexandria
Neutral-atom scattering factors, no anomalous dispersion.

Structure:
Cell lengths 13.7683, 13.3601, 6.9140 Å; angles 90.00, 119.94, 90.00 degrees
Space group C2/c (No. 15)
Asymmetric unit:
1 Pm 0.0000 0.0000 0.0000 x4
2 Pm 0.2500 0.2500 0.0000 x4
3 Nd 0.2500 0.2500 0.5000 x4
4 Sm 0.0000 0.2534 0.9996 x8
5 Sm 0.2476 0.5004 0.4614 x8
6 Dy 0.0000 0.5000 0.0000 x4

Largest 6 diffraction maxima, by intensity, 5° ≤ 2θ ≤ 70°:
| 2theta | Rel. int. | h k l |
| --- | --- | --- |
| 29.87 | 100 | 4 0 -2 |
| 40.48 | 88 | 4 4 -2 |
| 26.69 | 70 | 0 4 0 |
| 29.96 | 52 | 4 0 0 |
| 40.55 | 46 | 4 4 0 |
| 63.85 | 35 | 4 8 0 |

=====

[11]
Calculated X-ray diffraction stick pattern
Compound: PrSmGa4
Radiation: Cu Kα (weighted mean of Kα1 and Kα2)
Structure: the PBE geometry in Alexandria
Neutral-atom scattering factors, no anomalous dispersion.

Structure:
Cell lengths 4.2704, 4.2704, 14.8905 Å; angles 90.00, 90.00, 90.00 degrees
Space group I-4m2 (No. 119)
Asymmetric unit:
1 Pr 0.0000 0.0000 0.0000 x2
2 Sm 0.0000 0.5000 0.2500 x2
3 Ga 0.0000 0.0000 0.4163 x4
4 Ga 0.0000 0.5000 0.6675 x4

Largest 6 diffraction maxima, by intensity, 5° ≤ 2θ ≤ 70°:
| 2theta | Rel. int. | h k l |
| --- | --- | --- |
| 31.98 | 100 | 1 1 2 |
| 36.79 | 53 | 1 0 5 |
| 42.33 | 41 | 2 0 0 |
| 27.55 | 32 | 1 0 3 |
| 57.31 | 29 | 2 1 5 |
| 47.77 | 25 | 1 0 7 |

=====

[12]
Calculated X-ray diffraction stick pattern
Compound: Al2SnO5
Radiation: Cu Kα (weighted mean of Kα1 and Kα2)
Structure: the PBE geometry in Alexandria
Neutral-atom scattering factors, no anomalous dispersion.

Structure:
Cell lengths 3.6683, 9.6969, 10.1854 Å; angles 90.00, 90.00, 90.00 degrees
Space group Cmcm (No. 63)
Asymmetric unit:
1 Al 0.0000 0.1363 0.0526 x8
2 Sn 0.0000 0.1850 0.7500 x4
3 O 0.0000 0.0431 0.6088 x8
4 O 0.0000 0.2219 0.2500 x4
5 O 0.0000 0.3095 0.5657 x8

Largest 6 diffraction maxima, by intensity, 5° ≤ 2θ ≤ 70°:
| 2theta | Rel. int. | h k l |
| --- | --- | --- |
| 27.43 | 100 | 1 1 1 |
| 18.30 | 72 | 0 2 0 |
| 25.97 | 69 | 1 1 0 |
| 32.19 | 60 | 0 2 3 |
| 41.23 | 45 | 1 3 2 |
| 20.29 | 45 | 0 2 1 |